Diffraction record for KAlVO3. The powder X-ray diffraction pattern is simulated, not measured: it uses a GGA+U-relaxed structure and Cu Kα, 1.54184 Å.
Kinematic intensities with the Lorentz-polarization factor, no thermal factor.

```
data_KAlVO3
_symmetry_space_group_name_H-M 'C m c m'
_symmetry_Int_Tables_number 63
_symmetry_space_group_name_Hall '-C 2c 2'
_cell_length_a 5.571
_cell_length_b 10.455
_cell_length_c 5.372
_cell_angle_alpha 90.00
_cell_angle_beta 90.00
_cell_angle_gamma 90.00
loop_
_atom_site_label
_atom_site_fract_x
_atom_site_fract_y
_atom_site_fract_z
K1 0.000 0.248 0.250
Al1 0.000 0.061 0.750
V1 0.000 0.431 0.750
O1 0.000 0.229 0.750
O2 0.222 0.000 0.000
```

The 12 most intense peaks (2θ = 10–90°), in order of rising 2θ:
- (0 2 0), 16.96°, rel. 14.5
- (2 0 0), 32.13°, rel. 34.1
- (0 0 2), 33.36°, rel. 29.4
- (0 4 0), 34.31°, rel. 17.4
- (1 3 1), 34.65°, rel. 100.0
- (2 0 2), 46.99°, rel. 53.5
- (3 3 1), 58.92°, rel. 19.6
- (1 3 3), 60.45°, rel. 18.1
- (2 6 0), 62.91°, rel. 15.3
- (0 6 2), 63.65°, rel. 14.5
- (4 0 0), 67.21°, rel. 10.2
- (2 0 4), 79.21°, rel. 12.3